[1]
The following is a calculated powder X-ray diffraction pattern of Ba6Na2Ta2Mn2O17. It was derived from a cell relaxed with GGA+U, using copper Kα.

Cell and atoms:
```
data_Ba6Na2Ta2Mn2O17
_cell_length_a 5.9810
_cell_length_b 5.9810
_cell_length_c 30.3812
_cell_angle_alpha 90.00
_cell_angle_beta 90.00
_cell_angle_gamma 120.00
_symmetry_space_group_name_H-M 'P 1'
_symmetry_Int_Tables_number 1
_symmetry_space_group_name_Hall 'P 1'
loop_
_atom_site_label
_atom_site_fract_x
_atom_site_fract_y
_atom_site_fract_z
Ba1 0.0000 0.0000 0.0000
Ba2 0.0000 0.0000 0.2500
Ba3 0.0000 0.0000 0.5000
Ba4 0.0000 0.0000 0.7500
Ba5 0.3333 0.6667 0.0901
Ba6 0.3333 0.6667 0.4099
Ba7 0.3333 0.6667 0.6803
Ba8 0.3333 0.6667 0.8197
Ba9 0.6667 0.3333 0.1803
Ba10 0.6667 0.3333 0.3197
Ba11 0.6667 0.3333 0.5901
Ba12 0.6667 0.3333 0.9099
Na1 0.0000 0.0000 0.1249
Na2 0.0000 0.0000 0.3751
Na3 0.0000 0.0000 0.6249
Na4 0.0000 0.0000 0.8751
Ta1 0.3333 0.6667 0.2017
Ta2 0.3333 0.6667 0.2983
Ta3 0.6667 0.3333 0.7017
Ta4 0.6667 0.3333 0.7983
Mn1 0.3333 0.6667 0.5520
Mn2 0.3333 0.6667 0.9480
Mn3 0.6667 0.3333 0.0520
Mn4 0.6667 0.3333 0.4480
O1 0.0310 0.5155 0.2500
O2 0.1749 0.3498 0.1698
O3 0.1749 0.3498 0.3302
O4 0.1749 0.8251 0.1698
O5 0.1749 0.8251 0.3302
O6 0.1776 0.3552 0.5725
O7 0.1776 0.3552 0.9275
O8 0.1776 0.8224 0.5725
O9 0.1776 0.8224 0.9275
O10 0.3333 0.6667 0.0038
O11 0.3333 0.6667 0.4962
O12 0.3498 0.1749 0.6698
O13 0.3498 0.1749 0.8302
O14 0.3552 0.1776 0.0725
O15 0.3552 0.1776 0.4275
O16 0.4845 0.5155 0.2500
O17 0.4845 0.9690 0.2500
O18 0.5155 0.0310 0.7500
O19 0.5155 0.4845 0.7500
O20 0.6448 0.8224 0.5725
O21 0.6448 0.8224 0.9275
O22 0.6502 0.8251 0.1698
O23 0.6502 0.8251 0.3302
O24 0.6667 0.3333 0.5038
O25 0.6667 0.3333 0.9962
O26 0.8224 0.1776 0.0725
O27 0.8224 0.1776 0.4275
O28 0.8224 0.6448 0.0725
O29 0.8224 0.6448 0.4275
O30 0.8251 0.1749 0.6698
O31 0.8251 0.1749 0.8302
O32 0.8251 0.6502 0.6698
O33 0.8251 0.6502 0.8302
O34 0.9690 0.4845 0.7500
```

Peak list (6 most intense, 2θ = 10–90°, low angle first)
| 2θ/deg | I_rel |
| --- | --- |
| 17.37 | 19 |
| 29.16 | 47 |
| 29.88 | 100 |
| 42.24 | 27 |
| 42.41 | 18 |
| 53.04 | 20 |

[2]
The following is a calculated powder X-ray diffraction pattern of Cr7P6O24. It was derived from a cell relaxed with GGA+U, using copper Kα.

Cell and atoms:
```
data_Cr7P6O24
_cell_length_a 6.3635
_cell_length_b 8.1620
_cell_length_c 9.4614
_cell_angle_alpha 106.87
_cell_angle_beta 108.53
_cell_angle_gamma 100.60
_symmetry_space_group_name_H-M 'P 1'
_symmetry_Int_Tables_number 1
_symmetry_space_group_name_Hall 'P 1'
loop_
_atom_site_label
_atom_site_fract_x
_atom_site_fract_y
_atom_site_fract_z
Cr1 0.0000 0.0000 0.0000
Cr2 0.0480 0.7139 0.5262
Cr3 0.2832 0.8224 0.2959
Cr4 0.3810 0.4603 0.1097
Cr5 0.6190 0.5397 0.8903
Cr6 0.7168 0.1776 0.7041
Cr7 0.9520 0.2861 0.4738
P1 0.0956 0.5971 0.8343
P2 0.2265 0.1471 0.7637
P3 0.3956 0.2417 0.3646
P4 0.6044 0.7583 0.6354
P5 0.7735 0.8529 0.2363
P6 0.9044 0.4029 0.1657
O1 0.0111 0.1826 0.6507
O2 0.0721 0.5483 0.6553
O3 0.1172 0.5281 0.1607
O4 0.1246 0.7913 0.9183
O5 0.2048 0.9491 0.7053
O6 0.2272 0.2100 0.9364
O7 0.2530 0.2917 0.4642
O8 0.2718 0.0460 0.2348
O9 0.3147 0.5421 0.9186
O10 0.3648 0.7493 0.5114
O11 0.4438 0.3695 0.2807
O12 0.4547 0.2586 0.7634
O13 0.5453 0.7414 0.2366
O14 0.5562 0.6305 0.7193
O15 0.6352 0.2507 0.4886
O16 0.6853 0.4579 0.0814
O17 0.7282 0.9540 0.7652
O18 0.7470 0.7083 0.5358
O19 0.7728 0.7900 0.0636
O20 0.7952 0.0509 0.2947
O21 0.8754 0.2087 0.0817
O22 0.8828 0.4719 0.8393
O23 0.9279 0.4517 0.3447
O24 0.9889 0.8174 0.3493
```

Peak list (6 most intense, 2θ = 10–90°, low angle first)
| 2θ/deg | I_rel |
| --- | --- |
| 20.44 | 19 |
| 28.58 | 25 |
| 29.74 | 100 |
| 29.88 | 51 |
| 34.49 | 19 |
| 58.83 | 18 |

[3]
The following is a calculated powder X-ray diffraction pattern of Li9Mn2Co5O16. It was derived from a cell relaxed with GGA+U, using copper Kα.

Cell and atoms:
```
data_Li9Mn2Co5O16
_cell_length_a 5.8138
_cell_length_b 5.8672
_cell_length_c 10.0699
_cell_angle_alpha 73.08
_cell_angle_beta 74.16
_cell_angle_gamma 60.65
_symmetry_space_group_name_H-M 'P 1'
_symmetry_Int_Tables_number 1
_symmetry_space_group_name_Hall 'P 1'
loop_
_atom_site_label
_atom_site_fract_x
_atom_site_fract_y
_atom_site_fract_z
Li1 0.0000 0.0000 0.0000
Li2 0.0024 0.4959 0.5076
Li3 0.0061 0.0020 0.5038
Li4 0.2449 0.7565 0.2590
Li5 0.2569 0.2478 0.7528
Li6 0.5002 0.5007 0.5086
Li7 0.5082 0.9989 0.9992
Li8 0.7431 0.7528 0.2562
Li9 0.7518 0.2469 0.7523
Mn1 0.4996 0.9980 0.5023
Mn2 0.7505 0.2487 0.2588
Co1 0.2445 0.2490 0.2572
Co2 0.2459 0.7560 0.7467
Co3 0.4928 0.5034 0.0020
Co4 0.7598 0.7587 0.7486
Co5 0.9987 0.5020 0.0043
O1 0.1027 0.1385 0.1456
O2 0.1267 0.5966 0.1308
O3 0.1330 0.6275 0.6389
O4 0.1580 0.1130 0.6219
O5 0.3680 0.3831 0.8861
O6 0.3743 0.9049 0.3795
O7 0.3826 0.8515 0.8784
O8 0.3900 0.3498 0.3751
O9 0.6026 0.1517 0.1404
O10 0.6220 0.6494 0.6194
O11 0.6277 0.5984 0.1334
O12 0.6299 0.0963 0.6287
O13 0.8470 0.9065 0.3783
O14 0.8683 0.3974 0.8826
O15 0.8856 0.3630 0.3648
O16 0.8865 0.8660 0.8776
```

Peak list (6 most intense, 2θ = 10–90°, low angle first)
| 2θ/deg | I_rel |
| --- | --- |
| 18.36 | 100 |
| 35.96 | 14 |
| 36.22 | 13 |
| 43.40 | 28 |
| 43.80 | 27 |
| 44.15 | 26 |

[4]
The following is a calculated powder X-ray diffraction pattern of CrHO2. It was derived from a cell relaxed with GGA+U, using copper Kα.

Cell and atoms:
```
data_CrHO2
_cell_length_a 4.8373
_cell_length_b 6.1149
_cell_length_c 5.2994
_cell_angle_alpha 90.00
_cell_angle_beta 111.46
_cell_angle_gamma 90.00
_symmetry_space_group_name_H-M 'P 1'
_symmetry_Int_Tables_number 1
_symmetry_space_group_name_Hall 'P 1'
loop_
_atom_site_label
_atom_site_fract_x
_atom_site_fract_y
_atom_site_fract_z
Cr1 0.0023 0.1254 0.2569
Cr2 0.0023 0.3746 0.7569
Cr3 0.9977 0.6254 0.2431
Cr4 0.9977 0.8746 0.7431
H1 0.4640 0.6244 0.7350
H2 0.4640 0.8756 0.2350
H3 0.5360 0.1244 0.7650
H4 0.5360 0.3756 0.2650
O1 0.2193 0.1261 0.6590
O2 0.2193 0.3739 0.1590
O3 0.2260 0.6231 0.6564
O4 0.2260 0.8769 0.1564
O5 0.7740 0.1231 0.8436
O6 0.7740 0.3769 0.3436
O7 0.7807 0.6261 0.8410
O8 0.7807 0.8739 0.3410
```

Peak list (6 most intense, 2θ = 10–90°, low angle first)
| 2θ/deg | I_rel |
| --- | --- |
| 19.72 | 100 |
| 36.44 | 81 |
| 48.11 | 50 |
| 59.25 | 18 |
| 60.54 | 23 |
| 64.34 | 18 |